# Ba5Y2ZrAl2O13
Theoretical X-ray powder pattern, Cu Kα (weighted mean of Kα1 and Kα2). Input: the PBE geometry in Alexandria.
Neutral-atom scattering factors, no anomalous dispersion.

Largest 6 diffraction maxima, by angle, 2θ = 15–90°:
- 27.2 deg, I 22.0
- 29.6 deg, I 100.0
- 30.0 deg, I 55.7
- 42.7 deg, I 28.8
- 52.5 deg, I 19.9
- 52.8 deg, I 21.8

Structure:
abc: 6.043 6.043 25.305
angles: 90.00 90.00 120.00
Element x y z (fractional)
Ba (0.000, 0.000, 0.137)
Ba (0.000, 0.000, 0.363)
Ba (0.000, 0.000, 0.637)
Ba (0.000, 0.000, 0.863)
Ba (0.333, 0.667, 0.041)
Ba (0.333, 0.667, 0.459)
Ba (0.333, 0.667, 0.750)
Ba (0.667, 0.333, 0.250)
Ba (0.667, 0.333, 0.541)
Ba (0.667, 0.333, 0.959)
Y (0.333, 0.667, 0.604)
Y (0.333, 0.667, 0.896)
Y (0.667, 0.333, 0.104)
Y (0.667, 0.333, 0.396)
Zr (0.000, 0.000, 0.000)
Zr (0.000, 0.000, 0.500)
Al (0.333, 0.667, 0.181)
Al (0.333, 0.667, 0.319)
Al (0.667, 0.333, 0.681)
Al (0.667, 0.333, 0.819)
O (0.012, 0.506, 0.159)
O (0.012, 0.506, 0.341)
O (0.162, 0.325, 0.550)
O (0.162, 0.325, 0.950)
O (0.162, 0.838, 0.550)
O (0.162, 0.838, 0.950)
O (0.325, 0.162, 0.050)
O (0.325, 0.162, 0.450)
O (0.333, 0.667, 0.250)
O (0.494, 0.506, 0.159)
O (0.494, 0.506, 0.341)
O (0.494, 0.988, 0.159)
O (0.494, 0.988, 0.341)
O (0.506, 0.012, 0.659)
O (0.506, 0.012, 0.841)
O (0.506, 0.494, 0.659)
O (0.506, 0.494, 0.841)
O (0.667, 0.333, 0.750)
O (0.675, 0.838, 0.550)
O (0.675, 0.838, 0.950)
O (0.838, 0.162, 0.050)
O (0.838, 0.162, 0.450)
O (0.838, 0.675, 0.050)
O (0.838, 0.675, 0.450)
O (0.988, 0.494, 0.659)
O (0.988, 0.494, 0.841)


# BaScAl2Os
Theoretical X-ray powder pattern, Cu Kα (weighted mean of Kα1 and Kα2). Input: the PBE geometry in Alexandria.
Neutral-atom scattering factors, no anomalous dispersion.

Largest 6 diffraction maxima, by angle, 2θ = 15–90°:
- 25.2 deg, I 100.0
- 25.5 deg, I 62.4
- 36.4 deg, I 45.3
- 44.2 deg, I 28.7
- 44.8 deg, I 44.0
- 51.7 deg, I 32.7

Structure:
abc: 4.939 4.939 5.066
angles: 90.00 90.00 90.00
Element x y z (fractional)
Ba (0.000, 0.000, 0.000)
Sc (0.500, 0.500, 0.000)
Al (0.000, 0.500, 0.500)
Al (0.500, 0.000, 0.500)
Os (0.500, 0.500, 0.500)


# Ba3AlP3
Theoretical X-ray powder pattern, Cu Kα (weighted mean of Kα1 and Kα2). Input: the PBE geometry in Alexandria.
Neutral-atom scattering factors, no anomalous dispersion.

Largest 6 diffraction maxima, by angle, 2θ = 15–90°:
- 21.8 deg, I 78.3
- 22.7 deg, I 38.7
- 22.8 deg, I 38.7
- 30.8 deg, I 29.3
- 31.1 deg, I 52.5
- 32.4 deg, I 100.0

Structure:
abc: 8.954 7.840 12.642
angles: 90.00 98.68 90.00
Element x y z (fractional)
Ba (0.088, 0.175, 0.127)
Ba (0.088, 0.325, 0.627)
Ba (0.304, 0.728, 0.782)
Ba (0.304, 0.772, 0.282)
Ba (0.396, 0.234, 0.924)
Ba (0.396, 0.266, 0.424)
Ba (0.604, 0.734, 0.576)
Ba (0.604, 0.766, 0.076)
Ba (0.696, 0.228, 0.718)
Ba (0.696, 0.272, 0.218)
Ba (0.912, 0.675, 0.373)
Ba (0.912, 0.825, 0.873)
Al (0.172, 0.581, 0.041)
Al (0.172, 0.919, 0.541)
Al (0.828, 0.081, 0.459)
Al (0.828, 0.419, 0.959)
P (0.066, 0.068, 0.378)
P (0.066, 0.432, 0.878)
P (0.250, 0.628, 0.512)
P (0.250, 0.872, 0.012)
P (0.377, 0.065, 0.652)
P (0.377, 0.435, 0.152)
P (0.623, 0.565, 0.848)
P (0.623, 0.935, 0.348)
P (0.750, 0.128, 0.988)
P (0.750, 0.372, 0.488)
P (0.934, 0.568, 0.122)
P (0.934, 0.932, 0.622)


# Ba3Al2Pb2
Theoretical X-ray powder pattern, Cu Kα (weighted mean of Kα1 and Kα2). Input: the PBE geometry in Alexandria.
Neutral-atom scattering factors, no anomalous dispersion.

Largest 6 diffraction maxima, by angle, 2θ = 15–90°:
- 15.4 deg, I 32.4
- 25.2 deg, I 41.4
- 26.6 deg, I 100.0
- 29.6 deg, I 51.2
- 30.3 deg, I 41.7
- 35.9 deg, I 38.1

Structure:
abc: 13.325 4.471 10.249
angles: 90.00 120.21 90.00
Element x y z (fractional)
Ba (0.000, 0.000, 0.000)
Ba (0.176, 0.000, 0.645)
Ba (0.324, 0.500, 0.355)
Ba (0.500, 0.500, 0.000)
Ba (0.676, 0.500, 0.645)
Ba (0.824, 0.000, 0.355)
Al (0.196, 0.500, 0.945)
Al (0.304, 0.000, 0.055)
Al (0.696, 0.000, 0.945)
Al (0.804, 0.500, 0.055)
Pb (0.032, 0.500, 0.307)
Pb (0.468, 0.000, 0.693)
Pb (0.532, 0.000, 0.307)
Pb (0.968, 0.500, 0.693)


# Ba3AlPb2
Theoretical X-ray powder pattern, Cu Kα (weighted mean of Kα1 and Kα2). Input: the PBE geometry in Alexandria.
Neutral-atom scattering factors, no anomalous dispersion.

Largest 6 diffraction maxima, by angle, 2θ = 15–90°:
- 26.1 deg, I 100.0
- 26.8 deg, I 47.7
- 27.1 deg, I 58.8
- 33.8 deg, I 67.5
- 36.7 deg, I 68.9
- 52.9 deg, I 35.7

Structure:
abc: 14.055 4.894 14.350
angles: 90.00 90.00 90.00
Element x y z (fractional)
Ba (0.070, 0.250, 0.119)
Ba (0.119, 0.750, 0.554)
Ba (0.198, 0.250, 0.796)
Ba (0.302, 0.750, 0.296)
Ba (0.381, 0.250, 0.054)
Ba (0.430, 0.750, 0.619)
Ba (0.570, 0.250, 0.381)
Ba (0.619, 0.750, 0.946)
Ba (0.698, 0.250, 0.704)
Ba (0.802, 0.750, 0.204)
Ba (0.881, 0.250, 0.446)
Ba (0.930, 0.750, 0.881)
Al (0.141, 0.250, 0.358)
Al (0.359, 0.750, 0.858)
Al (0.641, 0.250, 0.142)
Al (0.859, 0.750, 0.642)
Pb (0.035, 0.750, 0.315)
Pb (0.198, 0.750, 0.983)
Pb (0.302, 0.250, 0.483)
Pb (0.465, 0.250, 0.815)
Pb (0.535, 0.750, 0.185)
Pb (0.698, 0.750, 0.517)
Pb (0.802, 0.250, 0.017)
Pb (0.965, 0.250, 0.685)


# Ba3Al2Pd4
Theoretical X-ray powder pattern, Cu Kα (weighted mean of Kα1 and Kα2). Input: the PBE geometry in Alexandria.
Neutral-atom scattering factors, no anomalous dispersion.

Largest 6 diffraction maxima, by angle, 2θ = 15–90°:
- 24.4 deg, I 57.2
- 30.5 deg, I 26.7
- 30.6 deg, I 24.0
- 34.0 deg, I 100.0
- 38.2 deg, I 42.6
- 41.2 deg, I 29.2

Structure:
abc: 6.380 6.380 9.236
angles: 100.82 100.82 40.16
Element x y z (fractional)
Ba (0.000, 0.000, 0.000)
Ba (0.381, 0.381, 0.612)
Ba (0.619, 0.619, 0.388)
Al (0.320, 0.320, 0.201)
Al (0.680, 0.680, 0.799)
Pd (0.097, 0.097, 0.658)
Pd (0.270, 0.270, 0.913)
Pd (0.730, 0.730, 0.087)
Pd (0.903, 0.903, 0.342)